Theoretical powder XRD pattern of MnC2S2N2O12 for Cu Kα X-rays, from a PBE+U-relaxed structure.

Peak list (8 most intense, 2θ from 10° to 80°, low angle first)
index  2theta  intensity
0 0 1  10.92  74
0 1 0  11.39  41
0 1 -1  17.09  100
1 0 1  19.03  19
1 1 1  21.00  46
1 0 2  24.79  19
-1 1 1  26.24  23
0 2 2  29.06  17

```
data_MnC2S2N2O12
_space_group_name_H-M_alt 'P -1'
_space_group_IT_number 2
_cell_length_a 4.918
_cell_length_b 7.899
_cell_length_c 8.557
_cell_angle_alpha 79.56
_cell_angle_beta 73.87
_cell_angle_gamma 85.82
loop_
_space_group_symop_operation_xyz
'x,y,z'
'-x,-y,-z'
loop_
_atom_site_label
_atom_site_fract_x
_atom_site_fract_y
_atom_site_fract_z
Mn1 0.000 0.000 0.000
C1 0.037 0.559 0.428
S1 0.395 0.781 0.769
N1 0.103 0.658 0.307
O1 0.095 0.230 0.937
O2 0.233 0.643 0.900
O3 0.234 0.951 0.787
O4 0.309 0.970 0.092
O5 0.319 0.210 0.202
O6 0.432 0.743 0.605
```